Record 1
Theoretical XRD peak list
Compound: LaSb2P2Pd7
Radiation: Cu Kα, 1.54184 Å
Structure: the PBE geometry in Alexandria
Kinematic intensities with the Lorentz-polarization factor, no thermal factor.

Largest 6 diffraction maxima, sorted by position, 10 to 90 degrees two-theta:
33.75°, d = 2.656 Å, rel. 100
34.90°, d = 2.571 Å, rel. 34
35.94°, d = 2.499 Å, rel. 68
41.24°, d = 2.189 Å, rel. 33
43.50°, d = 2.080 Å, rel. 87
47.12°, d = 1.929 Å, rel. 34

Cell and atoms:
```
LaSb2P2Pd7
1.0
3.0390 -2.9167 0.0000
3.0390 2.9167 0.0000
-0.2204 0.0000 12.8538
La Sb P Pd
1 2 2 7
direct
0.0000 0.0000 0.0000 La
0.1693 0.1693 0.4002 Sb
0.8307 0.8307 0.5998 Sb
0.3573 0.3573 0.8328 P
0.6427 0.6427 0.1672 P
0.1470 0.6523 0.2527 Pd
0.3477 0.8530 0.7473 Pd
0.3570 0.3570 0.5912 Pd
0.5000 0.5000 0.0000 Pd
0.6430 0.6430 0.4088 Pd
0.6523 0.1470 0.2527 Pd
0.8530 0.3477 0.7473 Pd
```


Record 2
Theoretical XRD peak list
Compound: La4Te2PPd
Radiation: Cu Kα, 1.54184 Å
Structure: the PBE geometry in Alexandria
Kinematic intensities with the Lorentz-polarization factor, no thermal factor.

Largest 6 diffraction maxima, sorted by position, 10 to 90 degrees two-theta:
28.43°, d = 3.140 Å, rel. 100
39.89°, d = 2.260 Å, rel. 12
40.38°, d = 2.234 Å, rel. 23
40.88°, d = 2.208 Å, rel. 26
41.41°, d = 2.181 Å, rel. 12
50.97°, d = 1.792 Å, rel. 13

Cell and atoms:
```
La4Te2PPd
1.0
7.6804 0.0000 0.0000
0.0000 4.3611 0.0000
-2.4853 0.0000 7.3985
La Te P Pd
4 2 1 1
direct
0.2332 0.0000 0.2208 La
0.2543 0.5000 0.7781 La
0.7457 0.5000 0.2219 La
0.7668 0.0000 0.7792 La
0.0000 0.0000 0.5000 Te
0.5000 0.5000 0.5000 Te
0.0000 0.5000 0.0000 P
0.5000 0.0000 0.0000 Pd
```


Record 3
Theoretical XRD peak list
Compound: La3PmP4
Radiation: Cu Kα, 1.54184 Å
Structure: the PBE geometry in Alexandria
Kinematic intensities with the Lorentz-polarization factor, no thermal factor.

Largest 6 diffraction maxima, sorted by position, 10 to 90 degrees two-theta:
25.73°, d = 3.463 Å, rel. 76
29.79°, d = 2.999 Å, rel. 100
42.64°, d = 2.121 Å, rel. 74
50.47°, d = 1.808 Å, rel. 38
52.88°, d = 1.731 Å, rel. 26
70.17°, d = 1.341 Å, rel. 33

Cell and atoms:
```
La3PmP4
1.0
7.3443 0.0000 0.0000
0.0000 8.4879 0.0000
-2.4507 0.0000 6.9224
La Pm P
6 2 8
direct
0.0000 0.1241 0.2500 La
0.0000 0.3738 0.7500 La
0.0000 0.6262 0.2500 La
0.0000 0.8759 0.7500 La
0.5000 0.3739 0.2500 La
0.5000 0.6261 0.7500 La
0.5000 0.1238 0.7500 Pm
0.5000 0.8762 0.2500 Pm
0.2517 0.3724 0.5027 P
0.2517 0.6276 0.0027 P
0.2547 0.1225 0.9995 P
0.2547 0.8775 0.4995 P
0.7453 0.1225 0.5005 P
0.7453 0.8775 0.0005 P
0.7483 0.3724 0.9973 P
0.7483 0.6276 0.4973 P
```


Record 4
Theoretical XRD peak list
Compound: La2PmP
Radiation: Cu Kα, 1.54184 Å
Structure: the PBE geometry in Alexandria
Kinematic intensities with the Lorentz-polarization factor, no thermal factor.

Largest 6 diffraction maxima, sorted by position, 10 to 90 degrees two-theta:
25.60°, d = 3.480 Å, rel. 52
26.38°, d = 3.379 Å, rel. 100
26.84°, d = 3.322 Å, rel. 46
34.96°, d = 2.567 Å, rel. 70
39.11°, d = 2.303 Å, rel. 49
46.26°, d = 1.963 Å, rel. 46

Cell and atoms:
```
La2PmP
1.0
3.9248 0.0000 0.0000
-1.9624 3.3989 0.0000
0.0000 0.0000 31.3184
La Pm P
6 3 3
direct
0.0000 0.0000 0.1117 La
0.0000 0.0000 0.8883 La
0.3333 0.6667 0.5550 La
0.3333 0.6667 0.7783 La
0.6667 0.3333 0.2217 La
0.6667 0.3333 0.4450 La
0.0000 0.0000 0.0000 Pm
0.3333 0.6667 0.6667 Pm
0.6667 0.3333 0.3333 Pm
0.0000 0.0000 0.5000 P
0.3333 0.6667 0.1667 P
0.6667 0.3333 0.8333 P
```


Record 5
Theoretical XRD peak list
Compound: LaPm2SmP4
Radiation: Cu Kα, 1.54184 Å
Structure: the PBE geometry in Alexandria
Kinematic intensities with the Lorentz-polarization factor, no thermal factor.

Largest 6 diffraction maxima, sorted by position, 10 to 90 degrees two-theta:
26.22°, d = 3.399 Å, rel. 80
30.37°, d = 2.943 Å, rel. 100
43.48°, d = 2.081 Å, rel. 73
51.49°, d = 1.775 Å, rel. 40
53.96°, d = 1.699 Å, rel. 26
71.70°, d = 1.316 Å, rel. 33

Cell and atoms:
```
LaPm2SmP4
1.0
7.2072 0.0000 0.0000
0.0000 4.1642 0.0000
-2.3971 0.0000 6.7972
La Pm Sm P
1 2 1 4
direct
0.0000 0.0000 0.0000 La
0.5000 0.0000 0.5000 Pm
0.5000 0.5000 0.0000 Pm
0.0000 0.5000 0.5000 Sm
0.2512 0.0000 0.7471 P
0.2537 0.5000 0.2548 P
0.7463 0.5000 0.7452 P
0.7488 0.0000 0.2529 P
```


Record 6
Theoretical XRD peak list
Compound: La3P2Pt4
Radiation: Cu Kα, 1.54184 Å
Structure: the PBE geometry in Alexandria
Kinematic intensities with the Lorentz-polarization factor, no thermal factor.

Largest 6 diffraction maxima, sorted by position, 10 to 90 degrees two-theta:
32.30°, d = 2.772 Å, rel. 60
32.65°, d = 2.743 Å, rel. 100
41.52°, d = 2.175 Å, rel. 57
42.39°, d = 2.132 Å, rel. 26
44.59°, d = 2.032 Å, rel. 23
62.57°, d = 1.485 Å, rel. 31

Cell and atoms:
```
La3P2Pt4
1.0
5.5569 -2.1324 0.0000
5.5569 2.1324 0.0000
-2.2008 0.0000 8.3177
La P Pt
3 2 4
direct
0.0000 0.0000 0.0000 La
0.3355 0.3355 0.3362 La
0.6645 0.6645 0.6638 La
0.3910 0.3910 0.7150 P
0.6090 0.6090 0.2850 P
0.0577 0.0577 0.3773 Pt
0.2857 0.2857 0.9251 Pt
0.7143 0.7143 0.0749 Pt
0.9423 0.9423 0.6227 Pt
```